Structure and computed PXRD pattern of Rb2FeHF6 (a cell relaxed with GGA+U; a wavelength of 1.5418 Å).
Intensities are scaled so that the largest is 100.

Principal peaks in the range 2θ = 10–90°, in order of rising 2θ:
2theta	Rel. int.
18.48	39
28.52	100
28.88	62
31.93	26
34.50	50
37.45	36
38.68	32
42.85	27
43.78	28
59.86	25

Structural model:
```
data_Rb2FeHF6
_cell_length_a 6.245
_cell_length_b 6.245
_cell_length_c 5.606
_cell_angle_alpha 116.01
_cell_angle_beta 116.01
_cell_angle_gamma 96.43
_space_group_name_H-M_alt 'P 1'
_space_group_IT_number 1
_space_group_name_Hall 'P 1'
loop_
_atom_site_label
_atom_site_type_symbol
_atom_site_fract_x
_atom_site_fract_y
_atom_site_fract_z
_atom_site_occupancy
Rb1 Rb 0.227 0.773 0.000 1
Rb2 Rb 0.773 0.227 0.000 1
Fe1 Fe 0.502 0.502 0.519 1
H1 H 0.225 0.225 0.722 1
F1 F 0.209 0.209 0.886 1
F2 F 0.265 0.265 0.516 1
F3 F 0.270 0.668 0.464 1
F4 F 0.668 0.270 0.464 1
F5 F 0.669 0.669 0.414 1
F6 F 0.733 0.733 0.965 1
```